# ZnCrMoF6
Calculated X-ray powder pattern, λ = 1.5418 Å (Cu Kα). Input: a cell relaxed with GGA+U.
No peak broadening, texture or thermal motion is included.

Peak list (6 most intense, 10° ≤ 2θ ≤ 90°, low angle first)
| index | d [Å] | intensity |
| --- | --- | --- |
| 1 0 2 | 3.320 | 100 |
| 1 1 0 | 2.810 | 40 |
| 1 1 2 | 2.389 | 30 |
| 2 0 2 | 2.145 | 29 |
| 2 -1 4 | 1.766 | 53 |
| 3 -1 2 | 1.705 | 27 |

Cell and atoms:
abc: 5.6192 5.6192 9.0815
angles: 90.00 90.00 120.00
Sites, in units of the cell vectors:
Zn: 0.0000 0.0000 0.0000
Zn: 0.0000 0.0000 0.5000
Cr: 0.3333 0.6667 0.2500
Cr: 0.6667 0.3333 0.7500
Mo: 0.3333 0.6667 0.7500
Mo: 0.6667 0.3333 0.2500
F: 0.0295 0.3355 0.6233
F: 0.0295 0.6940 0.8767
F: 0.3060 0.3355 0.8767
F: 0.3060 0.9705 0.6233
F: 0.3355 0.0295 0.1233
F: 0.3355 0.3060 0.3767
F: 0.6645 0.6940 0.6233
F: 0.6645 0.9705 0.8767
F: 0.6940 0.0295 0.3767
F: 0.6940 0.6645 0.1233
F: 0.9705 0.3060 0.1233
F: 0.9705 0.6645 0.3767